Structure and computed powder diffractogram of Nd3YTl2O (a GGA-PBE-relaxed structure; a wavelength of 1.5418 Å).
Intensities are scaled so that the largest is 100.

```
Nd3YTl2O
1.0
4.701 0.000 0.000
0.000 4.845 0.000
0.000 0.000 16.903
Nd Y Tl O
6 2 4 2
Direct
0.000 0.000 0.000
0.000 0.500 0.172
0.000 0.500 0.828
0.500 0.000 0.328
0.500 0.000 0.672
0.500 0.500 0.500
0.000 0.000 0.500
0.500 0.500 0.000
0.000 0.500 0.362
0.000 0.500 0.638
0.500 0.000 0.138
0.500 0.000 0.862
0.000 0.500 0.000
0.500 0.000 0.500
```

Principal peaks in the range 2θ = 5–70°, sorted by position:
d [Å]  intensity
3.374  42
3.134  62
2.817  31
2.745  18
2.637  100
2.423  35
2.351  32
1.837  18
1.687  23
1.406  18

=====

Structure and computed powder diffractogram of NdU2O7 (a GGA-PBE-relaxed structure; a wavelength of 1.5418 Å).
Intensities are scaled so that the largest is 100.

```
NdU2O7
1.0
1.931 1.115 10.417
-1.931 1.115 10.417
0.000 -2.230 10.417
Nd U O
1 2 7
Direct
0.000 0.000 0.000
0.434 0.434 0.434
0.566 0.566 0.566
0.080 0.080 0.080
0.220 0.220 0.220
0.364 0.364 0.364
0.500 0.500 0.500
0.636 0.636 0.636
0.780 0.780 0.780
0.920 0.920 0.920
```

Principal peaks in the range 2θ = 5–70°, sorted by position:
d [Å]  intensity
5.208  28
3.472  52
3.325  38
3.270  100
2.949  51
2.677  66
2.540  19
1.931  57
1.857  42
1.687  65